Entry 1:
Structure and simulated powder diffraction line list of Tb5Te2Ir (the PBE geometry in Alexandria; λ = 1.5418 Å (Cu Kα)).
Intensities are scaled so that the largest is 1000.

Crystal structure
Unit cell a=8.2357 b=13.1634 c=4.1483 alpha=90.00 beta=90.00 gamma=90.00
Atoms (fractional coordinates):
1 Tb 0.0000 0.0000 0.0000
2 Tb 0.1631 0.3145 0.0000
3 Tb 0.1707 0.5841 0.5000
4 Tb 0.3293 0.0841 0.5000
5 Tb 0.3369 0.8145 0.0000
6 Tb 0.5000 0.5000 0.0000
7 Tb 0.6631 0.1855 0.0000
8 Tb 0.6707 0.9159 0.5000
9 Tb 0.8293 0.4159 0.5000
10 Tb 0.8369 0.6855 0.0000
11 Te 0.0414 0.8216 0.5000
12 Te 0.4586 0.3216 0.5000
13 Te 0.5414 0.6784 0.5000
14 Te 0.9586 0.1784 0.5000
15 Ir 0.0000 0.5000 0.0000
16 Ir 0.5000 0.0000 0.0000

Main lines, in order of rising 2θ (2θ = 15–90°):
d_spacing  I (rel.)
3.229  559
3.056  525
2.853  681
2.831  333
2.671  1000
2.578  310
2.146  299
2.074  411
1.938  367
1.776  256

=====

Entry 2:
Structure and simulated powder diffraction line list of Tb5Te4Ir (the PBE geometry in Alexandria; λ = 1.5418 Å (Cu Kα)).
Intensities are scaled so that the largest is 1000.

Crystal structure
Unit cell a=7.5518 b=7.5518 c=7.5518 alpha=99.56 beta=99.56 gamma=131.89
Atoms (fractional coordinates):
1 Tb 0.0000 0.0000 0.0000
2 Tb 0.2392 0.5931 0.8324
3 Tb 0.4069 0.2392 0.6461
4 Tb 0.5931 0.7608 0.3539
5 Tb 0.7608 0.4069 0.1676
6 Te 0.0887 0.3097 0.3984
7 Te 0.3097 0.9113 0.2210
8 Te 0.6903 0.0887 0.7790
9 Te 0.9113 0.6903 0.6016
10 Ir 0.5000 0.5000 0.0000

Main lines, in order of rising 2θ (2θ = 15–90°):
d_spacing  I (rel.)
5.206  54
3.082  1000
2.476  73
2.179  704
1.779  235
1.542  61
1.539  46
1.379  145
1.377  111
1.258  166

=====

Entry 3:
Structure and simulated powder diffraction line list of Tb3ThIr8 (the PBE geometry in Alexandria; λ = 1.5418 Å (Cu Kα)).
Intensities are scaled so that the largest is 1000.

Crystal structure
Unit cell a=5.4026 b=5.4026 c=8.7633 alpha=90.00 beta=90.00 gamma=120.00
Atoms (fractional coordinates):
1 Tb 0.0000 0.0000 0.0000
2 Tb 0.0000 0.0000 0.3612
3 Tb 0.3333 0.6667 0.8730
4 Th 0.3333 0.6667 0.5055
5 Ir 0.0061 0.5031 0.1837
6 Ir 0.3267 0.1633 0.6861
7 Ir 0.4969 0.5031 0.1837
8 Ir 0.4969 0.9939 0.1837
9 Ir 0.6667 0.3333 0.4337
10 Ir 0.6667 0.3333 0.9354
11 Ir 0.8367 0.1633 0.6861
12 Ir 0.8367 0.6733 0.6861

Main lines, in order of rising 2θ (2θ = 15–90°):
d_spacing  I (rel.)
2.701  260
2.478  712
2.299  1000
2.260  985
2.191  198
2.064  258
1.513  285
1.469  252
1.403  320
1.351  311

=====

Entry 4:
Structure and simulated powder diffraction line list of Tb5Tl5Ir (the PBE geometry in Alexandria; λ = 1.5418 Å (Cu Kα)).
Intensities are scaled so that the largest is 1000.

Crystal structure
Unit cell a=8.2258 b=8.2258 c=9.3274 alpha=120.37 beta=120.37 gamma=38.72
Atoms (fractional coordinates):
1 Tb 0.0000 0.0000 0.0000
2 Tb 0.3448 0.3448 0.0528
3 Tb 0.3537 0.3537 0.6606
4 Tb 0.6463 0.6463 0.3394
5 Tb 0.6552 0.6552 0.9472
6 Tl 0.0923 0.0923 0.7120
7 Tl 0.2355 0.2355 0.2572
8 Tl 0.5000 0.5000 0.5000
9 Tl 0.7645 0.7645 0.7428
10 Tl 0.9077 0.9077 0.2880
11 Ir 0.5000 0.5000 0.0000

Main lines, in order of rising 2θ (2θ = 15–90°):
d_spacing  I (rel.)
3.753  312
3.662  334
2.832  652
2.781  288
2.739  708
2.727  1000
2.695  824
2.586  530
1.877  417
1.770  313

=====

Entry 5:
Structure and simulated powder diffraction line list of TbTlIr4 (the PBE geometry in Alexandria; λ = 1.5418 Å (Cu Kα)).
Intensities are scaled so that the largest is 1000.

Crystal structure
Unit cell a=5.3530 b=5.3530 c=5.3530 alpha=60.00 beta=60.00 gamma=60.00
Atoms (fractional coordinates):
1 Tb 0.0000 0.0000 0.0000
2 Tl 0.2500 0.2500 0.2500
3 Ir 0.1257 0.6248 0.6248
4 Ir 0.6248 0.1257 0.6248
5 Ir 0.6248 0.6248 0.1257
6 Ir 0.6248 0.6248 0.6248

Main lines, in order of rising 2θ (2θ = 15–90°):
d_spacing  I (rel.)
4.371  74
2.676  250
2.283  1000
2.185  423
1.893  57
1.545  96
1.457  329
1.338  290
1.154  119
1.141  166

=====

Entry 6:
Structure and simulated powder diffraction line list of Tb2Tl2Ir (the PBE geometry in Alexandria; λ = 1.5418 Å (Cu Kα)).
Intensities are scaled so that the largest is 1000.

Crystal structure
Unit cell a=10.3895 b=10.3895 c=10.3895 alpha=160.38 beta=160.38 gamma=27.89
Atoms (fractional coordinates):
1 Tb 0.0806 0.0806 0.0000
2 Tb 0.9194 0.9194 0.0000
3 Tl 0.3017 0.3017 0.0000
4 Tl 0.6983 0.6983 0.0000
5 Ir 0.5000 0.5000 0.0000

Main lines, in order of rising 2θ (2θ = 15–90°):
d_spacing  I (rel.)
2.661  1000
2.504  482
2.017  77
1.770  173
1.571  139
1.474  334
1.330  81
1.252  56
1.133  74
1.120  81

=====

Entry 7:
Structure and simulated powder diffraction line list of Tb4TlIr2 (the PBE geometry in Alexandria; λ = 1.5418 Å (Cu Kα)).
Intensities are scaled so that the largest is 1000.

Crystal structure
Unit cell a=11.5952 b=11.5952 c=11.5952 alpha=21.99 beta=21.99 gamma=21.99
Atoms (fractional coordinates):
1 Tb 0.1051 0.1051 0.1051
2 Tb 0.3006 0.3006 0.3006
3 Tb 0.6994 0.6994 0.6994
4 Tb 0.8949 0.8949 0.8949
5 Tl 0.5000 0.5000 0.5000
6 Ir 0.3989 0.3989 0.3989
7 Ir 0.6011 0.6011 0.6011

Main lines, in order of rising 2θ (2θ = 15–90°):
d_spacing  I (rel.)
3.807  250
3.492  144
3.336  294
2.540  1000
2.212  695
1.668  284
1.551  205
1.332  269
1.277  121
1.101  142

=====

Entry 8:
Structure and simulated powder diffraction line list of TbYTlIr (the PBE geometry in Alexandria; λ = 1.5418 Å (Cu Kα)).
Intensities are scaled so that the largest is 1000.

Crystal structure
Unit cell a=3.4797 b=3.4797 c=8.0482 alpha=90.00 beta=90.00 gamma=90.00
Atoms (fractional coordinates):
1 Tb 0.0000 0.0000 0.0000
2 Y 0.0000 0.0000 0.5876
3 Tl 0.5000 0.5000 0.2951
4 Ir 0.5000 0.5000 0.7944

Main lines, in order of rising 2θ (2θ = 15–90°):
d_spacing  I (rel.)
2.632  1000
2.460  466
2.012  81
1.740  233
1.557  157
1.451  324
1.316  83
1.231  97
1.115  72
1.100  78